Computed powder diffraction line list
Compound: LiSn2P5O16
Radiation: a wavelength of 1.5418 Å
Structure: the PBE geometry in the Materials Project
Peak positions follow from Bragg's law for the DFT cell and can differ from measured ones.

Structural model:
```
data_LiSn2P5O16
_chemical_formula_sum 'Li2 Sn4 P10 O32'
_symmetry_space_group_name_H-M 'P 1'
_symmetry_Int_Tables_number 1
_cell_length_a 7.3698
_cell_length_b 10.3473
_cell_length_c 10.6632
_cell_angle_alpha 90.00
_cell_angle_beta 109.94
_cell_angle_gamma 90.00
loop_
_symmetry_equiv_pos_as_xyz
'x,y,z'
loop_
_atom_site_label
_atom_site_type_symbol
_atom_site_fract_x
_atom_site_fract_y
_atom_site_fract_z
Li1 Li 0.0000 0.1908 0.0000
Li2 Li 0.0000 0.8092 0.5000
Sn1 Sn 0.3914 0.1277 0.8071
Sn2 Sn 0.3914 0.8723 0.3071
Sn3 Sn 0.9556 0.3703 0.4422
Sn4 Sn 0.9556 0.6297 0.9422
P1 P 0.1375 0.4130 0.7730
P2 P 0.1375 0.5870 0.2730
P3 P 0.2754 0.1286 0.4709
P4 P 0.2754 0.8714 0.9709
P5 P 0.5457 0.4675 0.8051
P6 P 0.5457 0.5325 0.3051
P7 P 0.5979 0.2883 0.1866
P8 P 0.5979 0.7117 0.6866
P9 P 0.6578 0.1421 0.4370
P10 P 0.6578 0.8579 0.9370
O1 O 0.0232 0.4723 0.8545
O2 O 0.0232 0.5277 0.3545
O3 O 0.0691 0.4582 0.6259
O4 O 0.0691 0.5418 0.1259
O5 O 0.1394 0.2678 0.7936
O6 O 0.1394 0.7322 0.2936
O7 O 0.1985 0.2702 0.4529
O8 O 0.1985 0.7298 0.9529
O9 O 0.2122 0.0502 0.3428
O10 O 0.2122 0.9498 0.8428
O11 O 0.2500 0.0595 0.5897
O12 O 0.2500 0.9405 0.0897
O13 O 0.3494 0.4774 0.8387
O14 O 0.3494 0.5226 0.3387
O15 O 0.5044 0.4302 0.1823
O16 O 0.5044 0.5698 0.6823
O17 O 0.5108 0.1536 0.5154
O18 O 0.5112 0.2288 0.0530
O19 O 0.5112 0.7712 0.5530
O20 O 0.5108 0.8464 0.0154
O21 O 0.5332 0.2132 0.2977
O22 O 0.5332 0.7868 0.7977
O23 O 0.5773 0.3346 0.7642
O24 O 0.5773 0.6654 0.2642
O25 O 0.6987 0.4704 0.4253
O26 O 0.6987 0.5296 0.9253
O27 O 0.7069 0.0057 0.4142
O28 O 0.7069 0.9943 0.9142
O29 O 0.8189 0.2995 0.2451
O30 O 0.8189 0.7005 0.7451
O31 O 0.8326 0.2243 0.5146
O32 O 0.8326 0.7757 0.0146
```

Principal peaks in the range 10 to 80 degrees two-theta, by intensity:
2θ (°), I_rel
15.41, 100
12.29, 30
29.77, 30
17.70, 29
28.06, 24
37.89, 21
28.92, 19
19.90, 15
27.16, 14
24.88, 13
31.63, 13
21.46, 11